Theoretical powder diffraction line list of Er3CuPd3 for CuKα, from a PBE-relaxed structure.
Peak positions follow from Bragg's law for the DFT cell and can differ from measured ones.

Peak list (6 most intense, 15° ≤ 2θ ≤ 90°, sorted by position)
two_theta  I (rel.)
28.6  23
33.5  100
33.9  38
39.9  35
43.0  28
48.8  24

a = 3.7277 Å, b = 4.2100 Å, c = 18.7499 Å
α = 90.00°, β = 90.00°, γ = 90.00°
Space group Imm2 (No. 44)
Asymmetric unit:
Er1 0.0000 0.0000 0.0000 [2 per cell]
Er2 0.0000 0.0000 0.3729 [2 per cell]
Er3 0.0000 0.5000 0.1839 [2 per cell]
Cu1 0.0000 0.5000 0.7543 [2 per cell]
Pd1 0.0000 0.0000 0.5280 [2 per cell]
Pd2 0.0000 0.0000 0.8356 [2 per cell]
Pd3 0.0000 0.5000 0.6225 [2 per cell]